Entry 1:
Diffraction record for Pr9ScIn2. The powder diffraction line list is theoretical, not measured: it uses a crystal structure in Alexandria, relaxed with GGA-PBE and Cu Kα.
Neutral-atom scattering factors, no anomalous dispersion.

Top 10 peaks for 5 to 70 degrees two-theta, by angle:
d = 15.269 Å, I = 26
d = 5.030 Å, I = 17
d = 2.916 Å, I = 1000
d = 2.545 Å, I = 171
d = 2.515 Å, I = 333
d = 1.789 Å, I = 237
d = 1.779 Å, I = 117
d = 1.531 Å, I = 141
d = 1.518 Å, I = 277
d = 1.458 Å, I = 120

Structure:
Lattice parameters (Å, degrees): 5.030 5.030 15.269 90.00 90.00 90.00
Fractional positions:
1 Pr 0.000 0.000 0.000
2 Pr 0.000 0.000 0.334
3 Pr 0.000 0.000 0.666
4 Pr 0.000 0.500 0.168
5 Pr 0.000 0.500 0.500
6 Pr 0.000 0.500 0.832
7 Pr 0.500 0.000 0.168
8 Pr 0.500 0.000 0.500
9 Pr 0.500 0.000 0.832
10 Sc 0.500 0.500 0.000
11 In 0.500 0.500 0.336
12 In 0.500 0.500 0.664

Entry 2:
Diffraction record for PtBr3. The powder diffraction line list is theoretical, not measured: it uses a crystal structure in Alexandria, relaxed with GGA-PBE and Cu Kα.
Neutral-atom scattering factors, no anomalous dispersion.

Top 10 peaks for 5 to 70 degrees two-theta, by angle:
d = 6.206 Å, I = 1000
d = 4.984 Å, I = 896
d = 3.187 Å, I = 552
d = 2.721 Å, I = 402
d = 2.492 Å, I = 211
d = 2.464 Å, I = 381
d = 2.381 Å, I = 540
d = 2.069 Å, I = 435
d = 1.792 Å, I = 513
d = 1.534 Å, I = 141

Structure:
Lattice parameters (Å, degrees): 6.777 6.777 3.714 90.00 90.00 132.66
Fractional positions:
1 Pt 0.000 0.000 0.000
2 Br 0.135 0.865 0.500
3 Br 0.500 0.500 0.000
4 Br 0.865 0.135 0.500